The following is a simulated X-ray diffraction stick pattern of Li4V2SiP2O12. It was derived from the GGA+U geometry in the Materials Project, using Cu Ka.
Intensities are scaled so that the largest is 100.

Main lines, by angle (10° ≤ 2θ ≤ 90°):
(1 1 1), 19.70°, intensity 20; (3 1 -1), 21.03°, intensity 52; (3 1 0), 23.80°, intensity 100; (2 2 -2), 28.92°, intensity 17; (1 1 2), 30.63°, intensity 22; (4 2 -2), 33.29°, intensity 21; (1 3 1), 34.43°, intensity 16; (4 2 -4), 47.46°, intensity 15

Structural model:
Cell lengths 14.350, 9.034, 8.492 Å; angles 90.00, 121.09, 90.00 degrees
Space group C2 (No. 5)
Inequivalent atoms, fractional coordinates:
Li 0.000 0.000 0.000 x2
Li 0.000 0.319 0.500 x2
Li 0.208 0.708 0.910 x4
Li 0.215 0.615 0.407 x4
Li 0.248 0.411 0.760 x4
V 0.107 0.913 0.390 x4
V 0.109 0.413 0.891 x4
Si 0.148 0.060 0.795 x4
P 0.000 0.616 0.500 x2
P 0.000 0.707 0.000 x2
P 0.151 0.261 0.296 x4
O 0.034 0.001 0.771 x4
O 0.039 0.311 0.261 x4
O 0.060 0.611 0.931 x4
O 0.065 0.710 0.440 x4
O 0.085 0.509 0.652 x4
O 0.089 0.810 0.152 x4
O 0.162 0.018 0.621 x4
O 0.166 0.242 0.813 x4
O 0.168 0.089 0.309 x4
O 0.170 0.311 0.142 x4
O 0.235 0.325 0.491 x4
O 0.242 0.997 0.000 x4